This entry pairs a crystal structure of PdAuO4 with its theoretical powder X-ray diffraction pattern. Radiation: Cu Kα X-rays. Structure: a DFT-relaxed cell (GGA-PBE, Alexandria).
Kinematic intensities with the Lorentz-polarization factor, no thermal factor.

Cell: 4.628 5.683 5.335 Å, 90.00 90.13 90.00°
Element x y z (fractional)
Pd: 0.000 0.150 0.250
Pd: 0.000 0.850 0.750
Au: 0.500 0.343 0.750
Au: 0.500 0.657 0.250
O: 0.242 0.095 0.567
O: 0.242 0.905 0.067
O: 0.252 0.397 0.075
O: 0.252 0.603 0.575
O: 0.748 0.397 0.425
O: 0.748 0.603 0.925
O: 0.758 0.095 0.933
O: 0.758 0.905 0.433

Peak list (10 most intense, 10° ≤ 2θ ≤ 80°, in order of falling intensity)
Position (°2θ), intensity
30.0, 100
24.8, 38
35.8, 33
53.9, 29
33.6, 20
42.2, 19
63.5, 17
57.9, 16
38.9, 16
52.2, 15